For RbNp2HgBr8, DFT lattice parameters and positions (GGA-PBE) gives the computed X-ray powder pattern in this record (λ = 1.5418 Å (Cu Kα)).
Peak positions follow from Bragg's law for the DFT cell and can differ from measured ones.

Principal peaks in the range 5° ≤ 2θ ≤ 70°, in order of rising 2θ:
- 2θ 10.92, d = 8.105 Å, rel. 1000
- 2θ 21.89, d = 4.060 Å, rel. 883
- 2θ 24.52, d = 3.631 Å, rel. 431
- 2θ 31.18, d = 2.868 Å, rel. 863
- 2θ 35.57, d = 2.524 Å, rel. 574
- 2θ 38.39, d = 2.345 Å, rel. 556
- 2θ 40.05, d = 2.251 Å, rel. 304
- 2θ 44.64, d = 2.030 Å, rel. 269
- 2θ 48.01, d = 1.895 Å, rel. 306
- 2θ 50.27, d = 1.815 Å, rel. 231

Structural model:
Lattice parameters (Å, degrees): 8.1219 8.1219 8.1046 90.00 90.00 120.00
Space group P-3 (No. 147)
Asymmetric unit:
Rb: 0.0000 0.0000 0.0000
Np: 0.3333 0.6667 0.4249
Hg: 0.0000 0.0000 0.5000
Br: 0.0523 0.4020 0.6643
Br: 0.3333 0.6667 0.0852